Computed X-ray powder pattern
Compound: Li4AsPd3
Radiation: λ = 1.5418 Å (Cu Kα)
Structure: a structure optimized by DFT (GGA-PBE)
Lines closer than 0.1° are merged.

```
data_Li4AsPd3
_cell_length_a 4.1895
_cell_length_b 21.3085
_cell_length_c 2.8100
_cell_angle_alpha 90.00
_cell_angle_beta 90.00
_cell_angle_gamma 90.00
_space_group_name_H-M_alt 'C m m m'
_space_group_IT_number 65
_space_group_name_Hall '-C 2 2'
loop_
_atom_site_label
_atom_site_fract_x
_atom_site_fract_y
_atom_site_fract_z
Li1 0.0000 0.1032 0.0000
Li2 0.0000 0.2220 0.0000
As1 0.0000 0.0000 0.5000
Pd1 0.0000 0.3338 0.5000
Pd2 0.0000 0.5000 0.0000
```

Largest 6 diffraction maxima, sorted by position, 5 to 70 degrees two-theta:
- 8.30 deg, d = 10.654 Å, rel. 32, hkl 0 2 0
- 21.62 deg, d = 4.111 Å, rel. 26, hkl 1 1 0
- 24.67 deg, d = 3.609 Å, rel. 35, hkl 1 3 0
- 25.07 deg, d = 3.551 Å, rel. 83, hkl 0 6 0
- 40.70 deg, d = 2.217 Å, rel. 100, hkl 1 3 1
- 55.27 deg, d = 1.662 Å, rel. 35, hkl 1 9 1

Computed X-ray powder pattern
Compound: PrBe2SiN
Radiation: λ = 1.5418 Å (Cu Kα)
Structure: a structure optimized by DFT (GGA-PBE)
Lines closer than 0.1° are merged.

```
data_PrBe2SiN
_cell_length_a 3.8026
_cell_length_b 10.8788
_cell_length_c 6.6414
_cell_angle_alpha 90.00
_cell_angle_beta 90.00
_cell_angle_gamma 90.00
_space_group_name_H-M_alt 'C m c m'
_space_group_IT_number 63
_space_group_name_Hall '-C 2c 2'
loop_
_atom_site_label
_atom_site_fract_x
_atom_site_fract_y
_atom_site_fract_z
Pr1 0.0000 0.0616 0.2500
Be1 0.0000 0.3581 0.0748
Si1 0.0000 0.2188 0.7500
N1 0.0000 0.5000 0.0000
```

Largest 6 diffraction maxima, sorted by position, 5 to 70 degrees two-theta:
- 16.30 deg, d = 5.439 Å, rel. 28, hkl 0 2 0
- 21.11 deg, d = 4.208 Å, rel. 28, hkl 0 2 1
- 24.80 deg, d = 3.590 Å, rel. 37, hkl 1 1 0
- 26.85 deg, d = 3.321 Å, rel. 26, hkl 0 0 2
- 35.67 deg, d = 2.517 Å, rel. 30, hkl 0 4 1
- 36.85 deg, d = 2.439 Å, rel. 100, hkl 1 3 1

Please write out number 2 again, unchanged.
Computed X-ray powder pattern
Compound: PrBe2SiN
Radiation: λ = 1.5418 Å (Cu Kα)
Structure: a structure optimized by DFT (GGA-PBE)
Lines closer than 0.1° are merged.

```
data_PrBe2SiN
_cell_length_a 3.8026
_cell_length_b 10.8788
_cell_length_c 6.6414
_cell_angle_alpha 90.00
_cell_angle_beta 90.00
_cell_angle_gamma 90.00
_space_group_name_H-M_alt 'C m c m'
_space_group_IT_number 63
_space_group_name_Hall '-C 2c 2'
loop_
_atom_site_label
_atom_site_fract_x
_atom_site_fract_y
_atom_site_fract_z
Pr1 0.0000 0.0616 0.2500
Be1 0.0000 0.3581 0.0748
Si1 0.0000 0.2188 0.7500
N1 0.0000 0.5000 0.0000
```

Largest 6 diffraction maxima, sorted by position, 5 to 70 degrees two-theta:
- 16.30 deg, d = 5.439 Å, rel. 28, hkl 0 2 0
- 21.11 deg, d = 4.208 Å, rel. 28, hkl 0 2 1
- 24.80 deg, d = 3.590 Å, rel. 37, hkl 1 1 0
- 26.85 deg, d = 3.321 Å, rel. 26, hkl 0 0 2
- 35.67 deg, d = 2.517 Å, rel. 30, hkl 0 4 1
- 36.85 deg, d = 2.439 Å, rel. 100, hkl 1 3 1